CoCuW4C2: theoretical X-ray powder pattern (Cu Kα X-rays), based on a cell relaxed with PBE.

Cell and atoms:
Lattice parameters (Å, degrees): 3.0356 3.0356 12.8161 90.00 90.00 120.00
Fractional positions:
Co 0.0000 0.0000 0.0000
Cu 0.6667 0.3333 0.5000
W 0.0000 0.0000 0.3361
W 0.0000 0.0000 0.6639
W 0.6667 0.3333 0.1512
W 0.6667 0.3333 0.8488
C 0.3333 0.6667 0.2455
C 0.3333 0.6667 0.7545

Main lines, in order of rising 2θ (2θ = 10–90°):
2θ/deg  intensity
13.8  14
27.8  9
34.1  25
34.8  15
40.3  100
42.3  16
55.4  13
61.1  21
61.7  8
75.7  16
76.0  11
77.1  17